Structure and calculated X-ray powder pattern of Hf2PaAs4 (a DFT-relaxed cell (PBE, Alexandria); Cu Kα).

Cell and atoms:
Unit cell a=6.506 b=6.506 c=12.946 alpha=90.00 beta=90.00 gamma=145.18
Positions (direct):
Hf (0.133, 0.867, 0.560)
Hf (0.133, 0.867, 0.940)
Hf (0.867, 0.133, 0.060)
Hf (0.867, 0.133, 0.440)
Pa (0.386, 0.614, 0.750)
Pa (0.614, 0.386, 0.250)
As (0.054, 0.946, 0.750)
As (0.230, 0.770, 0.128)
As (0.230, 0.770, 0.372)
As (0.500, 0.500, 0.000)
As (0.500, 0.500, 0.500)
As (0.770, 0.230, 0.628)
As (0.770, 0.230, 0.872)
As (0.946, 0.054, 0.250)

Peak list (12 most intense, 2θ = 5–70°, in order of falling intensity)
2θ (°), I_rel
25.1, 100
32.3, 93
34.5, 83
42.6, 68
48.8, 36
46.7, 35
45.5, 33
31.2, 27
51.6, 27
27.7, 26
53.7, 26
24.9, 24

---

Structure and calculated X-ray powder pattern of Mo3Pt5 (a DFT-relaxed cell (PBE, Alexandria); Cu Kα).

Cell and atoms:
Unit cell a=4.838 b=6.970 c=7.886 alpha=87.50 beta=82.50 gamma=78.81
Positions (direct):
Mo (0.100, 0.010, 0.132)
Mo (0.225, 0.556, 0.044)
Mo (0.387, 0.348, 0.477)
Mo (0.613, 0.652, 0.523)
Mo (0.775, 0.444, 0.956)
Mo (0.900, 0.990, 0.868)
Pt (0.077, 0.627, 0.713)
Pt (0.148, 0.697, 0.358)
Pt (0.242, 0.979, 0.574)
Pt (0.344, 0.229, 0.828)
Pt (0.490, 0.802, 0.844)
Pt (0.510, 0.198, 0.156)
Pt (0.656, 0.771, 0.172)
Pt (0.758, 0.021, 0.426)
Pt (0.852, 0.303, 0.642)
Pt (0.923, 0.373, 0.287)

Peak list (12 most intense, 2θ = 5–70°, in order of falling intensity)
2θ (°), I_rel
41.3, 100
41.1, 78
38.1, 77
42.3, 56
35.2, 53
40.6, 45
43.4, 43
43.3, 34
41.7, 34
35.5, 33
37.7, 32
42.9, 31

---

Structure and calculated X-ray powder pattern of YAlZn (a DFT-relaxed cell (PBE, Alexandria); Cu Kα).

Cell and atoms:
Unit cell a=6.029 b=4.712 c=8.565 alpha=90.00 beta=90.00 gamma=90.00
Positions (direct):
Y (0.211, 0.250, 0.079)
Y (0.289, 0.750, 0.579)
Y (0.711, 0.250, 0.421)
Y (0.789, 0.750, 0.921)
Al (0.014, 0.250, 0.730)
Al (0.486, 0.750, 0.230)
Al (0.514, 0.250, 0.770)
Al (0.986, 0.750, 0.270)
Zn (0.193, 0.250, 0.408)
Zn (0.307, 0.750, 0.908)
Zn (0.693, 0.250, 0.092)
Zn (0.807, 0.750, 0.592)

Peak list (12 most intense, 2θ = 5–70°, in order of falling intensity)
2θ (°), I_rel
36.8, 100
36.9, 51
38.2, 47
21.5, 35
47.9, 31
29.6, 30
35.3, 29
36.4, 25
68.2, 23
20.7, 17
53.8, 16
43.7, 15

---

Structure and calculated X-ray powder pattern of NaPrInHg (a DFT-relaxed cell (PBE, Alexandria); Cu Kα).

Cell and atoms:
Unit cell a=7.575 b=7.575 c=7.575 alpha=90.00 beta=90.00 gamma=90.00
Positions (direct):
Na (0.000, 0.000, 0.000)
Na (0.000, 0.500, 0.500)
Na (0.500, 0.000, 0.500)
Na (0.500, 0.500, 0.000)
Pr (0.000, 0.000, 0.500)
Pr (0.000, 0.500, 0.000)
Pr (0.500, 0.000, 0.000)
Pr (0.500, 0.500, 0.500)
In (0.250, 0.250, 0.250)
In (0.250, 0.750, 0.750)
In (0.750, 0.250, 0.750)
In (0.750, 0.750, 0.250)
Hg (0.250, 0.250, 0.750)
Hg (0.250, 0.750, 0.250)
Hg (0.750, 0.250, 0.250)
Hg (0.750, 0.750, 0.750)

Peak list (10 most intense, 2θ = 5–70°, in order of falling intensity)
2θ (°), I_rel
33.5, 100
59.8, 37
20.3, 20
48.0, 18
23.5, 12
39.5, 11
52.7, 5
54.1, 5
63.8, 4
41.3, 4

---

Structure and calculated X-ray powder pattern of Ti4Fe2Co3 (a DFT-relaxed cell (PBE, Alexandria); Cu Kα).

Cell and atoms:
Unit cell a=4.132 b=4.132 c=7.824 alpha=90.00 beta=90.00 gamma=120.00
Positions (direct):
Ti (0.000, 0.000, 0.168)
Ti (0.000, 0.000, 0.832)
Ti (0.333, 0.667, 0.387)
Ti (0.667, 0.333, 0.613)
Fe (0.333, 0.667, 0.719)
Fe (0.667, 0.333, 0.281)
Co (0.000, 0.000, 0.500)
Co (0.333, 0.667, 0.059)
Co (0.667, 0.333, 0.941)

Peak list (5 most intense, 2θ = 5–70°, in order of falling intensity)
2θ (°), I_rel
42.9, 100
43.8, 94
63.0, 29
27.4, 2
34.0, 2

---

Structure and calculated X-ray powder pattern of Nd2Dy4ErSc (a DFT-relaxed cell (PBE, Alexandria); Cu Kα).

Cell and atoms:
Unit cell a=5.012 b=5.012 c=9.978 alpha=90.00 beta=90.00 gamma=90.00
Positions (direct):
Nd (0.000, 0.000, 0.000)
Nd (0.500, 0.500, 0.500)
Dy (0.000, 0.500, 0.246)
Dy (0.000, 0.500, 0.754)
Dy (0.500, 0.000, 0.246)
Dy (0.500, 0.000, 0.754)
Er (0.000, 0.000, 0.500)
Sc (0.500, 0.500, 0.000)

Peak list (12 most intense, 2θ = 5–70°, in order of falling intensity)
2θ (°), I_rel
30.9, 100
35.8, 34
61.4, 28
51.7, 24
36.0, 17
61.6, 14
64.5, 12
51.6, 12
17.7, 3
8.9, 3
25.2, 3
26.7, 2